Theoretical powder diffractogram
Compound: BaNaFe2F9
Radiation: Cu Kα (λ = 1.5418 Å)
Structure: DFT lattice parameters and positions (PBE+U)
Neutral-atom scattering factors, no anomalous dispersion.

Main lines, sorted by position (2θ from 10° to 90°):
- d 4.252, 20.89 deg, rel. 48.7, (1 1 -2)
- d 3.641, 24.45 deg, rel. 54.7, (0 1 2)
- d 3.609, 24.67 deg, rel. 59.2, (1 3 0)
- d 3.521, 25.29 deg, rel. 57.7, (1 3 -2)
- d 3.475, 25.64 deg, rel. 100.0, (1 4 -1)
- d 3.206, 27.82 deg, rel. 53.7, (0 5 1)
- d 2.788, 32.11 deg, rel. 69.9, (2 0 -2)
- d 2.127, 42.50 deg, rel. 96.1, (2 2 -4)

Structural model:
```
data_BaNaFe2F9
_chemical_formula_sum 'Ba4 Na4 Fe8 F36'
_cell_length_a 5.5828
_cell_length_b 17.7670
_cell_length_c 9.1252
_cell_angle_alpha 90.00
_cell_angle_beta 125.39
_cell_angle_gamma 90.00
_space_group_name_H-M_alt 'P 1 21/c 1'
_space_group_IT_number 14
loop_
_space_group_symop_operation_xyz
'x,y,z'
'-x,-y,-z'
'-x,y+1/2,-z+1/2'
'x,-y+1/2,z+1/2'
loop_
_atom_site_label
_atom_site_fract_x
_atom_site_fract_y
_atom_site_fract_z
_atom_site_occupancy
Ba1 0.1529 0.2138 0.4361 1
Na1 0.0338 0.5372 0.7970 1
Fe1 0.3120 0.6233 0.5897 1
Fe2 0.4870 0.0813 0.2299 1
F1 0.0848 0.0764 0.9974 1
F2 0.1100 0.7069 0.4312 1
F3 0.1186 0.5829 0.0549 1
F4 0.2902 0.6645 0.7765 1
F5 0.3055 0.1658 0.8026 1
F6 0.3135 0.0809 0.3585 1
F7 0.3255 0.5683 0.4042 1
F8 0.4924 0.6881 0.2855 1
F9 0.4958 0.5311 0.7398 1
```

Theoretical powder diffractogram
Compound: La2MnCoO6
Radiation: Cu Kα (λ = 1.5418 Å)
Structure: DFT lattice parameters and positions (PBE+U)
Neutral-atom scattering factors, no anomalous dispersion.

Main lines, sorted by position (2θ from 10° to 90°):
- d 3.938, 22.58 deg, rel. 17.0, (0 0 2)
- d 2.786, 32.12 deg, rel. 100.0, (1 1 1)
- d 2.776, 32.25 deg, rel. 18.7, (0 2 0)
- d 1.969, 46.10 deg, rel. 34.1, (0 0 4)
- d 1.610, 57.21 deg, rel. 26.4, (3 1 -1)
- d 1.605, 57.40 deg, rel. 20.6, (0 2 4)
- d 1.393, 67.23 deg, rel. 11.9, (2 2 2)
- d 1.246, 76.43 deg, rel. 9.3, (1 1 5)

Structural model:
```
data_La2MnCoO6
_chemical_formula_sum 'La4 Mn2 Co2 O12'
_cell_length_a 5.5829
_cell_length_b 5.5522
_cell_length_c 9.6538
_cell_angle_alpha 90.00
_cell_angle_beta 125.28
_cell_angle_gamma 90.00
_space_group_name_H-M_alt 'P 1 21/c 1'
_space_group_IT_number 14
loop_
_space_group_symop_operation_xyz
'x,y,z'
'-x,-y,-z'
'-x,y+1/2,-z+1/2'
'x,-y+1/2,z+1/2'
loop_
_atom_site_label
_atom_site_fract_x
_atom_site_fract_y
_atom_site_fract_z
_atom_site_occupancy
La1 0.2424 0.0317 0.2491 1
Mn1 0.5000 0.0000 0.0000 1
Co1 0.0000 0.0000 0.5000 1
O1 0.1857 0.2105 0.9598 1
O2 0.2505 0.7225 0.9597 1
O3 0.3329 0.0107 0.7578 1
```

Theoretical powder diffractogram
Compound: VFeP2O8
Radiation: Cu Kα (λ = 1.5418 Å)
Structure: DFT lattice parameters and positions (PBE+U)
Neutral-atom scattering factors, no anomalous dispersion.

Main lines, sorted by position (2θ from 10° to 90°):
- d 4.332, 20.50 deg, rel. 76.5, (1 1 0)
- d 3.666, 24.28 deg, rel. 100.0, (2 -1 3)
- d 3.526, 25.26 deg, rel. 17.6, (2 0 2)
- d 2.695, 33.25 deg, rel. 63.7, (1 1 6)
- d 2.501, 35.91 deg, rel. 34.3, (3 0 0)
- d 1.909, 47.64 deg, rel. 30.6, (1 2 8)
- d 1.833, 49.74 deg, rel. 23.7, (2 2 6)
- d 1.637, 56.18 deg, rel. 22.2, (1 4 0)

Structural model:
```
data_VFeP2O8
_chemical_formula_sum 'V9 Fe9 P18 O72'
_cell_length_a 8.6634
_cell_length_b 8.6634
_cell_length_c 20.6484
_cell_angle_alpha 90.00
_cell_angle_beta 90.00
_cell_angle_gamma 120.00
_space_group_name_H-M_alt 'R 3'
_space_group_IT_number 146
_space_group_name_Hall 'R 3'
loop_
_atom_site_label
_atom_site_fract_x
_atom_site_fract_y
_atom_site_fract_z
_atom_site_occupancy
V1 0.0000 0.0000 0.0000 1
V2 0.0000 0.0000 0.2154 1
V3 0.0000 0.0000 0.5012 1
Fe1 0.0000 0.0000 0.3580 1
Fe2 0.0000 0.0000 0.7150 1
Fe3 0.0000 0.0000 0.8572 1
P1 0.0003 0.2920 0.1087 1
P2 0.0002 0.7070 0.6083 1
O1 0.0007 0.8024 0.6700 1
O2 0.0078 0.1944 0.1700 1
O3 0.0167 0.8343 0.2800 1
O4 0.0213 0.1884 0.7840 1
O5 0.1414 0.4738 0.7139 1
O6 0.1408 0.6678 0.2132 1
O7 0.1673 0.6842 0.6009 1
O8 0.1688 0.4818 0.1020 1
```

Question: Which formula does entry 1 have?
Answer: BaNaFe2F9

Question: Number 1 is which compound?
Answer: BaNaFe2F9